1.
Structure and computed powder diffractogram of Dy4Al3Cd (a cell relaxed with PBE; λ = 1.5418 Å (Cu Kα)).
Intensities are scaled so that the largest is 100.

Atomic structure:
a b c (Å): 3.691 4.575 11.806
angles (deg): 90.00 90.00 90.00
Positions (direct):
Dy: 0.000 0.000 0.000
Dy: 0.000 0.500 0.308
Dy: 0.500 0.000 0.492
Dy: 0.500 0.500 0.812
Al: 0.000 0.500 0.580
Al: 0.500 0.000 0.221
Al: 0.500 0.500 0.086
Cd: 0.000 0.000 0.720

Main lines, sorted by position (2θ from 10° to 90°):
- d 3.616, 2θ = 24.62°, I = 49.4
- d 2.951, 2θ = 30.28°, I = 17.1
- d 2.791, 2θ = 32.06°, I = 100.0
- d 2.692, 2θ = 33.28°, I = 55.7
- d 2.480, 2θ = 36.22°, I = 40.1
- d 2.288, 2θ = 39.39°, I = 25.9
- d 1.824, 2θ = 50.00°, I = 16.2
- d 1.743, 2θ = 52.49°, I = 30.7

***

2.
Structure and computed powder diffractogram of BeTe2CN (a cell relaxed with PBE; λ = 1.5418 Å (Cu Kα)).
Intensities are scaled so that the largest is 100.

Atomic structure:
a b c (Å): 6.308 6.308 2.610
angles (deg): 90.00 90.00 90.00
Positions (direct):
Be: 0.000 0.000 0.000
Te: 0.000 0.500 0.500
Te: 0.500 0.000 0.500
C: 0.500 0.500 0.500
N: 0.500 0.500 0.000

Main lines, sorted by position (2θ from 10° to 90°):
- d 4.461, 2θ = 19.90°, I = 100.0
- d 3.154, 2θ = 28.29°, I = 73.5
- d 2.253, 2θ = 40.03°, I = 48.0
- d 2.230, 2θ = 40.44°, I = 27.1
- d 2.011, 2θ = 45.09°, I = 29.6
- d 1.995, 2θ = 45.47°, I = 24.6
- d 1.695, 2θ = 54.09°, I = 17.3
- d 1.585, 2θ = 58.21°, I = 31.5

***

3.
Structure and computed powder diffractogram of Lu2Pa (a cell relaxed with PBE; λ = 1.5418 Å (Cu Kα)).
Intensities are scaled so that the largest is 100.

Atomic structure:
a b c (Å): 7.735 7.735 7.735
angles (deg): 154.90 154.90 35.79
Positions (direct):
Lu: 0.160 0.160 0.000
Lu: 0.840 0.840 0.000
Pa: 0.500 0.500 0.000

Main lines, sorted by position (2θ from 10° to 90°):
- d 2.773, 2θ = 32.28°, I = 100.0
- d 2.454, 2θ = 36.62°, I = 17.3
- d 2.377, 2θ = 37.85°, I = 33.1
- d 1.707, 2θ = 53.69°, I = 23.5
- d 1.681, 2θ = 54.61°, I = 11.7
- d 1.471, 2θ = 63.22°, I = 13.8
- d 1.437, 2θ = 64.87°, I = 27.7
- d 1.387, 2θ = 67.56°, I = 11.9

***

4.
Structure and computed powder diffractogram of LiV3Fe (a cell relaxed with PBE; λ = 1.5418 Å (Cu Kα)).
Intensities are scaled so that the largest is 100.

Atomic structure:
a b c (Å): 4.334 4.334 4.334
angles (deg): 90.00 90.00 90.00
Positions (direct):
Li: 0.000 0.000 0.000
V: 0.000 0.500 0.500
V: 0.500 0.000 0.500
V: 0.500 0.500 0.000
Fe: 0.500 0.500 0.500

Main lines, sorted by position (2θ from 10° to 90°):
- d 4.334, 2θ = 20.49°, I = 100.0
- d 2.502, 2θ = 35.89°, I = 25.9
- d 2.167, 2θ = 41.68°, I = 61.6
- d 1.938, 2θ = 46.87°, I = 40.1
- d 1.532, 2θ = 60.41°, I = 37.0
- d 1.445, 2θ = 64.50°, I = 17.4
- d 1.307, 2θ = 72.30°, I = 8.1
- d 1.251, 2θ = 76.07°, I = 11.7

***

5.
Structure and computed powder diffractogram of CsTiAg2S4 (a cell relaxed with PBE; λ = 1.5418 Å (Cu Kα)).
Intensities are scaled so that the largest is 100.

Atomic structure:
a b c (Å): 6.666 6.666 6.666
angles (deg): 122.72 110.09 96.66
Positions (direct):
Cs: 0.000 0.000 0.000
Ti: 0.500 0.500 0.000
Ag: 0.337 0.837 0.500
Ag: 0.663 0.163 0.500
S: 0.166 0.156 0.629
S: 0.472 0.844 0.010
S: 0.528 0.538 0.371
S: 0.834 0.462 0.990

Main lines, sorted by position (2θ from 10° to 90°):
- d 5.184, 2θ = 17.11°, I = 48.9
- d 3.819, 2θ = 23.29°, I = 41.6
- d 3.287, 2θ = 27.13°, I = 100.0
- d 3.075, 2θ = 29.04°, I = 52.0
- d 2.756, 2θ = 32.49°, I = 46.9
- d 2.451, 2θ = 36.67°, I = 55.9
- d 2.087, 2θ = 43.36°, I = 50.8
- d 2.019, 2θ = 44.89°, I = 26.0

***

6.
Structure and computed powder diffractogram of TiNbIrRu (a cell relaxed with PBE; λ = 1.5418 Å (Cu Kα)).
Intensities are scaled so that the largest is 100.

Atomic structure:
a b c (Å): 4.610 4.610 4.610
angles (deg): 125.53 125.53 80.65
Positions (direct):
Ti: 0.000 0.000 0.000
Nb: 0.500 0.500 0.000
Ir: 0.250 0.750 0.500
Ru: 0.750 0.250 0.500

Main lines, sorted by position (2θ from 10° to 90°):
- d 3.617, 2θ = 24.61°, I = 17.1
- d 2.983, 2θ = 29.95°, I = 12.3
- d 2.274, 2θ = 39.63°, I = 100.0
- d 2.109, 2θ = 42.87°, I = 39.9
- d 1.757, 2θ = 52.05°, I = 11.2
- d 1.492, 2θ = 62.24°, I = 13.0
- d 1.350, 2θ = 69.64°, I = 18.5
- d 1.247, 2θ = 76.36°, I = 28.3

***

7.
Structure and computed powder diffractogram of TaTl4Pt (a cell relaxed with PBE; λ = 1.5418 Å (Cu Kα)).
Intensities are scaled so that the largest is 100.

Atomic structure:
a b c (Å): 6.012 6.012 6.012
angles (deg): 60.00 60.00 60.00
Positions (direct):
Ta: 0.000 0.000 0.000
Tl: 0.126 0.625 0.625
Tl: 0.625 0.126 0.625
Tl: 0.625 0.625 0.126
Tl: 0.625 0.625 0.625
Pt: 0.250 0.250 0.250

Main lines, sorted by position (2θ from 10° to 90°):
- d 3.006, 2θ = 29.72°, I = 24.1
- d 2.564, 2θ = 35.00°, I = 100.0
- d 2.455, 2θ = 36.61°, I = 43.1
- d 1.636, 2θ = 56.21°, I = 35.0
- d 1.503, 2θ = 61.71°, I = 31.1
- d 1.297, 2θ = 72.96°, I = 12.2
- d 1.282, 2θ = 73.94°, I = 17.2
- d 1.107, 2θ = 88.28°, I = 23.3